1.
For Ba3Li4Sn8, a DFT-relaxed cell (PBE, the Materials Project) gives the computed PXRD pattern in this record (Cu Ka).
Peak positions follow from Bragg's law for the DFT cell and can differ from measured ones.

Principal peaks in the range 5 to 70 degrees two-theta, in order of rising 2θ:
2θ = 17.28°, I = 29
2θ = 28.91°, I = 50
2θ = 29.05°, I = 45
2θ = 29.25°, I = 28
2θ = 30.37°, I = 100
2θ = 36.47°, I = 77

a b c (Å): 9.9671 9.9671 6.8997
angles (deg): 98.23 98.23 39.76
Sites, in units of the cell vectors:
Ba  0.0000  0.0000  0.0000
Ba  0.3227  0.3227  0.6859
Ba  0.6773  0.6773  0.3141
Li  0.2126  0.2126  0.1299
Li  0.2156  0.7844  0.5000
Li  0.7844  0.2156  0.5000
Li  0.7874  0.7874  0.8701
Sn  0.1135  0.5849  0.1962
Sn  0.1286  0.1286  0.4507
Sn  0.4151  0.8865  0.8038
Sn  0.4843  0.4843  0.2027
Sn  0.5157  0.5157  0.7973
Sn  0.5849  0.1135  0.1962
Sn  0.8714  0.8714  0.5493
Sn  0.8865  0.4151  0.8038

---

2.
For Ba2LuMgNbO6, a DFT-relaxed cell (PBE, the Materials Project) gives the computed PXRD pattern in this record (Cu Ka).
Peak positions follow from Bragg's law for the DFT cell and can differ from measured ones.

Principal peaks in the range 5 to 70 degrees two-theta, in order of rising 2θ:
2θ = 28.40°, I = 100
2θ = 28.64°, I = 42
2θ = 30.24°, I = 37
2θ = 32.44°, I = 28
2θ = 42.14°, I = 45
2θ = 44.94°, I = 21

a b c (Å): 6.3059 6.3059 6.3059
angles (deg): 124.10 120.76 85.86
Sites, in units of the cell vectors:
Ba  0.1898  0.1898  0.0000
Ba  0.8102  0.8102  0.0000
Lu  0.5000  0.0000  0.5000
Mg  0.5000  0.5000  0.0000
Nb  0.0000  0.5000  0.5000
O  0.2378  0.7378  0.5000
O  0.2646  0.2670  0.5316
O  0.2646  0.7330  0.9976
O  0.7354  0.2670  0.0024
O  0.7354  0.7330  0.4684
O  0.7622  0.2622  0.5000

---

3.
For Ba2LuMgNbO6, a DFT-relaxed cell (PBE, the Materials Project) gives the computed PXRD pattern in this record (Cu Ka).
Peak positions follow from Bragg's law for the DFT cell and can differ from measured ones.

Principal peaks in the range 5 to 70 degrees two-theta, in order of rising 2θ:
2θ = 27.06°, I = 68
2θ = 30.01°, I = 100
2θ = 31.34°, I = 39
2θ = 40.83°, I = 27
2θ = 43.93°, I = 38
2θ = 51.51°, I = 24

a b c (Å): 5.9558 5.9558 6.6723
angles (deg): 116.60 116.60 59.98
Sites, in units of the cell vectors:
Ba  0.0000  0.0000  0.0000
Ba  0.5422  0.5422  0.6275
Lu  0.7959  0.7959  0.3904
Mg  0.1683  0.1683  0.5073
Nb  0.3240  0.3240  0.9757
O  0.0671  0.0671  0.6859
O  0.0678  0.5485  0.1728
O  0.0716  0.5468  0.6939
O  0.5468  0.0716  0.6939
O  0.5485  0.0678  0.1728
O  0.5499  0.5499  0.1792

---

4.
For Ba4Lu6O13, a DFT-relaxed cell (PBE, the Materials Project) gives the computed PXRD pattern in this record (Cu Ka).
Peak positions follow from Bragg's law for the DFT cell and can differ from measured ones.

Principal peaks in the range 5 to 70 degrees two-theta, in order of rising 2θ:
2θ = 29.33°, I = 24
2θ = 29.77°, I = 100
2θ = 42.34°, I = 20
2θ = 52.28°, I = 17
2θ = 52.93°, I = 14
2θ = 61.79°, I = 9

a b c (Å): 12.5535 12.5535 12.5535
angles (deg): 121.96 65.44 152.41
Sites, in units of the cell vectors:
Ba  0.1593  0.6309  0.7911
Ba  0.1642  0.1214  0.2855
Ba  0.3358  0.6214  0.9572
Ba  0.3398  0.1309  0.4716
Ba  0.6593  0.8682  0.5284
Ba  0.6642  0.3786  0.0428
Ba  0.8358  0.8786  0.7145
Ba  0.8398  0.3682  0.2089
Lu  0.0319  0.6944  0.5904
Lu  0.0623  0.9075  0.9415
Lu  0.1040  0.4415  0.4096
Lu  0.2448  0.3729  0.6229
Lu  0.2500  0.8729  0.1281
Lu  0.4660  0.4075  0.8452
Lu  0.5319  0.9415  0.3374
Lu  0.5623  0.6208  0.1548
Lu  0.6040  0.1944  0.6626
Lu  0.7448  0.1219  0.8719
Lu  0.7500  0.6219  0.3771
Lu  0.9660  0.1208  0.0585
O  0.0054  0.4981  0.0049
O  0.0052  0.7506  0.2568
O  0.1201  0.8523  0.0233
O  0.1422  0.3832  0.5069
O  0.3001  0.8001  0.5000
O  0.3206  0.4368  0.0195
O  0.3290  0.3523  0.7322
O  0.3462  0.1008  0.6949
O  0.3763  0.8832  0.2409
O  0.4059  0.6512  0.3051
O  0.4172  0.3011  0.9805
O  0.4932  0.0004  0.9951
O  0.4938  0.7484  0.7432
O  0.5052  0.2484  0.2546
O  0.5054  0.5004  0.5073
O  0.6201  0.5968  0.2678
O  0.6422  0.1353  0.7591
O  0.8001  0.3001  0.5000
O  0.8206  0.8011  0.8839
O  0.8290  0.0968  0.9767
O  0.8462  0.1512  0.2453
O  0.8763  0.6353  0.4931
O  0.9059  0.6008  0.7547
O  0.9172  0.9368  0.1161
O  0.9932  0.9981  0.4927
O  0.9938  0.2506  0.7454

---

5.
For Ba4Lu6O13, a DFT-relaxed cell (PBE, the Materials Project) gives the computed PXRD pattern in this record (Cu Ka).
Peak positions follow from Bragg's law for the DFT cell and can differ from measured ones.

Principal peaks in the range 5 to 70 degrees two-theta, in order of rising 2θ:
2θ = 29.34°, I = 30
2θ = 29.73°, I = 100
2θ = 29.86°, I = 27
2θ = 42.36°, I = 25
2θ = 52.28°, I = 20
2θ = 52.95°, I = 17

a b c (Å): 5.9845 12.1759 12.5573
angles (deg): 61.07 76.25 89.99
Sites, in units of the cell vectors:
Ba  0.0000  0.0000  0.0000
Ba  0.0006  0.4942  0.9903
Ba  0.1716  0.1663  0.6472
Ba  0.1739  0.6796  0.6376
Ba  0.4973  0.7378  0.9986
Ba  0.5025  0.2515  0.9902
Ba  0.6734  0.9226  0.6467
Ba  0.6776  0.4149  0.6383
Lu  0.0869  0.8317  0.8234
Lu  0.0921  0.3361  0.8134
Lu  0.2322  0.5446  0.3907
Lu  0.2753  0.0542  0.4148
Lu  0.3050  0.8704  0.2470
Lu  0.3728  0.3624  0.2223
Lu  0.5861  0.0789  0.8257
Lu  0.5912  0.5851  0.8135
Lu  0.7331  0.7988  0.3902
Lu  0.7740  0.2662  0.4149
Lu  0.8049  0.6176  0.2462
Lu  0.8731  0.1500  0.2221
O  0.0093  0.2318  0.0268
O  0.0191  0.3238  0.2214
O  0.0369  0.7083  0.3175
O  0.1911  0.4456  0.5852
O  0.2161  0.9422  0.6100
O  0.3321  0.7016  0.8304
O  0.3316  0.9511  0.8335
O  0.3410  0.4659  0.8067
O  0.3438  0.2126  0.8072
O  0.4187  0.2274  0.4153
O  0.4312  0.9030  0.3793
O  0.4573  0.9674  0.0528
O  0.4920  0.5110  0.2608
O  0.5117  0.4755  0.0270
O  0.5182  0.1883  0.2216
O  0.5360  0.7085  0.3177
O  0.6987  0.7004  0.5836
O  0.7123  0.1849  0.6103
O  0.8323  0.2018  0.8321
O  0.8336  0.9530  0.8280
O  0.8411  0.4617  0.8078
O  0.8436  0.7156  0.8057
O  0.9187  0.0921  0.4156
O  0.9317  0.4529  0.3780
O  0.9567  0.7149  0.0520
O  0.9918  0.9630  0.2592

---

6.
For Ba3Lu4O9, a DFT-relaxed cell (PBE, the Materials Project) gives the computed PXRD pattern in this record (Cu Ka).
Peak positions follow from Bragg's law for the DFT cell and can differ from measured ones.

Principal peaks in the range 5 to 70 degrees two-theta, in order of rising 2θ:
2θ = 29.64°, I = 100
2θ = 30.27°, I = 78
2θ = 42.88°, I = 42
2θ = 44.28°, I = 18
2θ = 52.60°, I = 21
2θ = 52.99°, I = 34

a b c (Å): 9.0508 9.0508 9.0508
angles (deg): 38.90 38.90 38.90
Sites, in units of the cell vectors:
Ba  0.0000  0.0000  0.0000
Ba  0.1640  0.1640  0.1640
Ba  0.5842  0.5842  0.5842
Lu  0.3005  0.3005  0.3005
Lu  0.4248  0.4248  0.4248
Lu  0.7392  0.7392  0.7392
Lu  0.8634  0.8634  0.8634
O  0.0367  0.5542  0.4853
O  0.0770  0.5816  0.0870
O  0.0870  0.0770  0.5816
O  0.1255  0.6669  0.6213
O  0.4853  0.0367  0.5542
O  0.5542  0.4853  0.0367
O  0.5816  0.0870  0.0770
O  0.6213  0.1255  0.6669
O  0.6669  0.6213  0.1255

---

7.
For BaLu2O4, a DFT-relaxed cell (PBE, the Materials Project) gives the computed PXRD pattern in this record (Cu Ka).
Peak positions follow from Bragg's law for the DFT cell and can differ from measured ones.

Principal peaks in the range 5 to 70 degrees two-theta, in order of rising 2θ:
2θ = 29.90°, I = 100
2θ = 31.51°, I = 72
2θ = 43.99°, I = 34
2θ = 53.08°, I = 18
2θ = 54.07°, I = 34
2θ = 62.96°, I = 25

a b c (Å): 10.3469 3.3956 11.9599
angles (deg): 90.00 90.00 90.00
Sites, in units of the cell vectors:
Ba  0.2479  0.2500  0.1486
Ba  0.2521  0.7500  0.6486
Ba  0.7479  0.2500  0.3514
Ba  0.7521  0.7500  0.8514
Lu  0.0736  0.2500  0.3896
Lu  0.0761  0.2500  0.8916
Lu  0.4239  0.7500  0.3916
Lu  0.4264  0.7500  0.8896
Lu  0.5736  0.2500  0.1104
Lu  0.5761  0.2500  0.6084
Lu  0.9239  0.7500  0.1084
Lu  0.9264  0.7500  0.6104
O  0.0162  0.7500  0.7826
O  0.0667  0.2500  0.5737
O  0.1124  0.7500  0.0155
O  0.2111  0.7500  0.3457
O  0.2889  0.2500  0.8457
O  0.3876  0.2500  0.5155
O  0.4333  0.7500  0.0737
O  0.4838  0.2500  0.2826
O  0.5162  0.7500  0.7174
O  0.5667  0.2500  0.9263
O  0.6124  0.7500  0.4845
O  0.7111  0.7500  0.1543
O  0.7889  0.2500  0.6543
O  0.8876  0.2500  0.9845
O  0.9333  0.7500  0.4263
O  0.9838  0.2500  0.2174

---

8.
For BaLu2O4, a DFT-relaxed cell (PBE, the Materials Project) gives the computed PXRD pattern in this record (Cu Ka).
Peak positions follow from Bragg's law for the DFT cell and can differ from measured ones.

Principal peaks in the range 5 to 70 degrees two-theta, in order of rising 2θ:
2θ = 28.59°, I = 100
2θ = 28.69°, I = 33
2θ = 31.86°, I = 35
2θ = 32.16°, I = 31
2θ = 36.82°, I = 28
2θ = 39.41°, I = 31

a b c (Å): 5.8172 5.8172 11.3171
angles (deg): 90.00 90.00 146.20
Sites, in units of the cell vectors:
Ba  0.1103  0.8897  0.7500
Ba  0.8897  0.1103  0.2500
Lu  0.3643  0.6357  0.5700
Lu  0.3643  0.6357  0.9300
Lu  0.6357  0.3643  0.0700
Lu  0.6357  0.3643  0.4300
O  0.0000  0.0000  0.0000
O  0.0000  0.0000  0.5000
O  0.2596  0.7404  0.1001
O  0.2596  0.7404  0.3999
O  0.4306  0.5694  0.7500
O  0.5694  0.4306  0.2500
O  0.7404  0.2596  0.6001
O  0.7404  0.2596  0.8999